(1)
Starting from a crystal structure in Alexandria, relaxed with PBE, the powder XRD pattern of Y3Sc2Ag2 was computed for Cu Ka.

Main lines, by angle (10 to 80 degrees two-theta):
| 2theta | I (rel.) |
| --- | --- |
| 32.58 | 100 |
| 34.41 | 82 |
| 36.20 | 45 |
| 37.67 | 32 |
| 42.54 | 18 |
| 53.23 | 28 |
| 58.11 | 14 |
| 64.80 | 13 |
| 65.08 | 17 |
| 65.54 | 23 |

Atomic structure:
```
data_Y3Sc2Ag2
_chemical_formula_sum 'Y3 Sc2 Ag2'
_cell_length_a 11.1444
_cell_length_b 11.1444
_cell_length_c 3.4016
_cell_angle_alpha 90.00
_cell_angle_beta 90.00
_cell_angle_gamma 155.25
_space_group_name_H-M_alt 'P 1'
_space_group_IT_number 1
_space_group_name_Hall 'P 1'
loop_
_atom_site_label
_atom_site_type_symbol
_atom_site_fract_x
_atom_site_fract_y
_atom_site_fract_z
Y1 Y 0.0000 0.0000 0.0000
Y2 Y 0.1494 0.8506 0.0000
Y3 Y 0.8506 0.1494 0.0000
Sc1 Sc 0.2867 0.7133 0.5000
Sc2 Sc 0.7133 0.2867 0.5000
Ag1 Ag 0.4270 0.5730 0.5000
Ag2 Ag 0.5730 0.4270 0.5000
```



(2)
Starting from a crystal structure in Alexandria, relaxed with PBE, the powder XRD pattern of Tm8HgAu2 was computed for Cu Ka.

Main lines, by angle (10 to 80 degrees two-theta):
| 2theta | I (rel.) |
| --- | --- |
| 29.46 | 19 |
| 31.45 | 100 |
| 31.68 | 19 |
| 31.85 | 27 |
| 33.98 | 50 |
| 35.66 | 59 |
| 36.65 | 30 |
| 37.60 | 15 |
| 61.44 | 15 |
| 67.60 | 23 |

Atomic structure:
```
data_Tm8HgAu2
_chemical_formula_sum 'Tm8 Hg1 Au2'
_cell_length_a 9.1857
_cell_length_b 9.1857
_cell_length_c 6.9361
_cell_angle_alpha 105.98
_cell_angle_beta 105.98
_cell_angle_gamma 31.81
_space_group_name_H-M_alt 'P 1'
_space_group_IT_number 1
_space_group_name_Hall 'P 1'
loop_
_atom_site_label
_atom_site_type_symbol
_atom_site_fract_x
_atom_site_fract_y
_atom_site_fract_z
Tm1 Tm 0.0314 0.0314 0.2692
Tm2 Tm 0.2003 0.2003 0.8214
Tm3 Tm 0.3295 0.3295 0.5280
Tm4 Tm 0.4071 0.4071 0.0367
Tm5 Tm 0.5929 0.5929 0.9633
Tm6 Tm 0.6705 0.6705 0.4720
Tm7 Tm 0.7997 0.7997 0.1786
Tm8 Tm 0.9686 0.9686 0.7308
Hg1 Hg 0.5000 0.5000 0.5000
Au1 Au 0.1853 0.1853 0.2181
Au2 Au 0.8147 0.8147 0.7819
```



(3)
Starting from a crystal structure in Alexandria, relaxed with PBE, the powder XRD pattern of V3Zn was computed for Cu Ka.

Main lines, by angle (10 to 80 degrees two-theta):
| 2theta | I (rel.) |
| --- | --- |
| 40.40 | 57 |
| 41.19 | 42 |
| 41.36 | 100 |
| 46.14 | 93 |
| 59.06 | 26 |
| 68.10 | 17 |
| 71.74 | 7 |
| 74.11 | 15 |
| 77.53 | 17 |
| 78.47 | 7 |

Atomic structure:
```
data_V3Zn
_chemical_formula_sum 'V3 Zn1'
_cell_length_a 5.2620
_cell_length_b 5.2620
_cell_length_c 5.2620
_cell_angle_alpha 153.21
_cell_angle_beta 63.88
_cell_angle_gamma 123.20
_space_group_name_H-M_alt 'P 1'
_space_group_IT_number 1
_space_group_name_Hall 'P 1'
loop_
_atom_site_label
_atom_site_type_symbol
_atom_site_fract_x
_atom_site_fract_y
_atom_site_fract_z
V1 V 0.0000 0.0000 0.0000
V2 V 0.0342 0.2848 0.7494
V3 V 0.5354 0.2848 0.2506
Zn1 Zn 0.4972 0.9972 0.5000
```



- What is the formula in the third record?
  V3Zn